Structure and calculated PXRD pattern of TeMoO5 (the PBE+U geometry in Alexandria; Cu Kα (weighted mean of Kα1 and Kα2)).
Lines closer than 0.1° are merged.

Peak list (6 most intense, 2θ from 5° to 70°, most intense first)
- 3.331 Å, 26.76 deg, rel. 100.0, hkl 1 0 2
- 4.094 Å, 21.71 deg, rel. 92.0, hkl 1 1 0
- 3.347 Å, 26.63 deg, rel. 50.3, hkl 1 -1 0
- 2.548 Å, 35.23 deg, rel. 28.3, hkl 2 1 2
- 2.591 Å, 34.61 deg, rel. 27.4, hkl 2 0 0
- 2.622 Å, 34.20 deg, rel. 26.0, hkl 1 0 -2

Structural model:
```
data_TeMoO5
_cell_length_a 5.578
_cell_length_b 5.583
_cell_length_c 7.686
_cell_angle_alpha 71.37
_cell_angle_beta 71.36
_cell_angle_gamma 73.71
_symmetry_space_group_name_H-M 'P 1'
_symmetry_Int_Tables_number 1
loop_
_symmetry_equiv_pos_as_xyz
'x,y,z'
loop_
_atom_site_label
_atom_site_fract_x
_atom_site_fract_y
_atom_site_fract_z
Te1 0.000 0.000 0.000
Te2 0.053 0.947 0.500
Mo1 0.495 0.462 0.793
Mo2 0.515 0.442 0.293
O1 0.191 0.699 0.346
O2 0.217 0.751 0.705
O3 0.218 0.239 0.869
O4 0.290 0.166 0.369
O5 0.416 0.510 0.026
O6 0.562 0.362 0.527
O7 0.702 0.679 0.174
O8 0.734 0.647 0.674
O9 0.751 0.137 0.846
O10 0.803 0.163 0.205
```